This entry pairs a crystal structure of Cr2As6O19 with its computed powder diffractogram. Radiation: Cu Kα (λ = 1.5418 Å). Structure: a GGA+U-relaxed structure.
No peak broadening, texture or thermal motion is included.

Top 10 peaks for 10 to 90 degrees two-theta, low angle first:
Position (°2θ)	I (rel.)	index
20.1	100	1 1 1
20.5	15	2 2 0
21.8	12	0 2 1
24.3	59	3 1 0
26.7	25	0 4 0
27.7	28	1 3 1
35.8	22	2 4 1
36.0	35	4 0 1
38.9	16	1 5 1
55.2	15	0 8 0

Structural model:
```
data_Cr2As6O19
_chemical_formula_sum 'Cr4 As12 O38'
_symmetry_space_group_name_H-M 'P m m n'
_symmetry_Int_Tables_number 59
_cell_length_a 11.407
_cell_length_b 13.333
_cell_length_c 5.141
_cell_angle_alpha 90.00
_cell_angle_beta 90.00
_cell_angle_gamma 90.00
loop_
_symmetry_equiv_pos_as_xyz
'x,y,z'
'-x,-y,-z'
'-x+1/2,-y+1/2,z'
'x+1/2,y+1/2,-z'
'x+1/2,-y,-z'
'-x+1/2,y,z'
'-x,y+1/2,-z'
'x,-y+1/2,z'
loop_
_atom_site_label
_atom_site_fract_x
_atom_site_fract_y
_atom_site_fract_z
_atom_site_occupancy
Cr1 0.000 0.000 0.000 1
As1 0.109 0.130 0.488 1
As2 0.250 0.634 0.057 1
O1 0.020 0.120 0.228 1
O2 0.087 0.250 0.634 1
O3 0.116 0.051 0.741 1
O4 0.129 0.571 0.174 1
O5 0.250 0.138 0.344 1
O6 0.250 0.668 0.735 1
O7 0.250 0.750 0.234 1
```